For Fe3OF5, the PBE+U geometry in Alexandria gives the computed XRD peak list in this record (a wavelength of 1.5418 Å).
Peak positions follow from Bragg's law for the DFT cell and can differ from measured ones.

Crystal structure
abc: 3.181 4.834 14.457
angles: 90.00 90.00 90.00
Space group Pmn2_1 (No. 31)
Unique sites:
Fe1 0.000 0.214 0.000 (multiplicity 2)
Fe2 0.000 0.236 0.347 (multiplicity 2)
Fe3 0.000 0.262 0.676 (multiplicity 2)
O1 0.000 0.944 0.448 (multiplicity 2)
F1 0.000 0.534 0.244 (multiplicity 2)
F2 0.000 0.542 0.916 (multiplicity 2)
F3 0.000 0.567 0.575 (multiplicity 2)
F4 0.000 0.952 0.109 (multiplicity 2)
F5 0.000 0.958 0.773 (multiplicity 2)

Main lines, by angle (5° ≤ 2θ ≤ 70°):
2theta  I (rel.)  (hkl)
26.11  100  0 1 3
33.74  59  1 0 3
38.69  21  1 1 3
41.85  7  0 2 3
51.14  63  1 1 6
53.72  20  0 2 6
57.98  11  2 0 0
64.65  13  2 1 3
64.87  11  1 3 0
65.04  11  1 0 9